Computed powder diffractogram
Compound: CaTb4NdSm2
Radiation: Cu Kα, 1.54184 Å
Structure: a GGA-PBE-relaxed structure
Neutral-atom scattering factors, no anomalous dispersion.

a b c (Å): 9.639 9.639 6.881
angles (deg): 110.82 110.82 88.40
Positions (direct):
1 Ca 0.000 0.000 0.000
2 Ca 0.000 0.000 0.500
3 Tb 0.248 0.742 0.995
4 Tb 0.258 0.752 0.505
5 Tb 0.263 0.264 0.020
6 Tb 0.264 0.263 0.520
7 Tb 0.736 0.737 0.480
8 Tb 0.737 0.736 0.980
9 Tb 0.742 0.248 0.495
10 Tb 0.752 0.258 0.005
11 Nd 0.000 0.500 0.500
12 Nd 0.500 0.000 0.000
13 Sm 0.000 0.500 0.000
14 Sm 0.500 0.000 0.500
15 Sm 0.500 0.500 0.000
16 Sm 0.500 0.500 0.500

Peak list (12 most intense, 15 to 90 degrees two-theta, in order of rising 2θ)
| Position (°2θ) | d_spacing | intensity |
| --- | --- | --- |
| 26.53 | 3.360 | 69 |
| 29.78 | 3.001 | 49 |
| 29.94 | 2.985 | 100 |
| 40.30 | 2.238 | 44 |
| 40.42 | 2.231 | 89 |
| 53.01 | 1.727 | 10 |
| 53.25 | 1.720 | 10 |
| 60.13 | 1.539 | 12 |
| 60.24 | 1.536 | 13 |
| 60.46 | 1.531 | 14 |
| 63.50 | 1.465 | 23 |
| 63.57 | 1.464 | 12 |